This entry pairs a crystal structure of ZrIr4Pb with its computed X-ray powder pattern. Radiation: copper Kα. Structure: a cell relaxed with PBE.

Principal peaks in the range 10° ≤ 2θ ≤ 90°, in order of rising 2θ:
two_theta, I/Imax
20.46, 17.1
33.72, 19.7
39.76, 100.0
41.61, 48.6
48.43, 8.5
53.09, 4.3
60.30, 7.5
64.39, 32.8
70.90, 29.2
80.85, 3.3
84.50, 11.9
85.71, 19.2

Cell and atoms:
Unit cell a=5.3166 b=5.3166 c=5.3166 alpha=60.00 beta=60.00 gamma=60.00
Sites, in units of the cell vectors:
Zr  0.0000  0.0000  0.0000
Ir  0.1256  0.6248  0.6248
Ir  0.6248  0.1256  0.6248
Ir  0.6248  0.6248  0.1256
Ir  0.6248  0.6248  0.6248
Pb  0.2500  0.2500  0.2500